Record 1
# NaCr2O4
Computed X-ray powder pattern, Cu Kα (λ = 1.5418 Å). Input: a DFT-relaxed cell (GGA+U, the Materials Project).
Intensities are scaled so that the largest is 100.

Main lines, low angle first (10° ≤ 2θ ≤ 80°):
- 17.72 deg, rel. 100
- 29.13 deg, rel. 14
- 34.30 deg, rel. 94
- 35.88 deg, rel. 14
- 41.67 deg, rel. 57
- 55.04 deg, rel. 46
- 60.40 deg, rel. 54
- 63.48 deg, rel. 12
- 71.33 deg, rel. 10
- 72.29 deg, rel. 10

Lattice parameters (Å, degrees): 6.1307 6.1307 6.1307 60.00 60.00 60.00
Fractional positions:
1 Na 0.1250 0.1250 0.1250
2 Na 0.8750 0.8750 0.8750
3 Cr 0.0000 0.5000 0.5000
4 Cr 0.5000 0.0000 0.5000
5 Cr 0.5000 0.5000 0.0000
6 Cr 0.5000 0.5000 0.5000
7 O 0.2706 0.2706 0.2706
8 O 0.2706 0.2706 0.6881
9 O 0.2706 0.6881 0.2706
10 O 0.3120 0.7294 0.7294
11 O 0.6881 0.2706 0.2706
12 O 0.7294 0.3120 0.7294
13 O 0.7294 0.7294 0.3120
14 O 0.7294 0.7294 0.7294

***

Record 2
# TaVO4
Computed X-ray powder pattern, Cu Kα (λ = 1.5418 Å). Input: a DFT-relaxed cell (GGA+U, the Materials Project).
Intensities are scaled so that the largest is 100.

Main lines, low angle first (10° ≤ 2θ ≤ 80°):
- 19.57 deg, rel. 61
- 26.60 deg, rel. 100
- 33.24 deg, rel. 32
- 34.72 deg, rel. 77
- 37.97 deg, rel. 22
- 52.39 deg, rel. 64
- 54.78 deg, rel. 17
- 61.91 deg, rel. 15
- 66.51 deg, rel. 19
- 66.83 deg, rel. 14

Lattice parameters (Å, degrees): 5.6531 5.6531 5.6531 107.29 107.29 113.94
Fractional positions:
1 Ta 0.0000 0.0000 0.0000
2 Ta 0.7500 0.2500 0.5000
3 V 0.2392 0.7392 0.5000
4 V 0.4892 0.4892 0.0000
5 O 0.1795 0.4800 0.6996
6 O 0.2300 0.0304 0.8004
7 O 0.2300 0.4295 0.1996
8 O 0.2984 0.9965 0.3019
9 O 0.6946 0.9965 0.6981
10 O 0.7465 0.5484 0.8019
11 O 0.7465 0.9446 0.1981
12 O 0.7804 0.4800 0.3004

***

Record 3
# Mn3OF5
Computed X-ray powder pattern, Cu Kα (λ = 1.5418 Å). Input: a DFT-relaxed cell (GGA+U, the Materials Project).
Intensities are scaled so that the largest is 100.

Main lines, low angle first (10° ≤ 2θ ≤ 80°):
- 25.17 deg, rel. 100
- 26.29 deg, rel. 92
- 33.05 deg, rel. 97
- 37.55 deg, rel. 21
- 38.34 deg, rel. 20
- 49.59 deg, rel. 68
- 50.86 deg, rel. 55
- 51.67 deg, rel. 20
- 56.54 deg, rel. 20
- 63.81 deg, rel. 46

Lattice parameters (Å, degrees): 9.7656 4.8994 4.8994 92.45 90.00 90.00
Fractional positions:
1 Mn 0.0000 0.0000 0.0000
2 Mn 0.1629 0.4644 0.4644
3 Mn 0.3228 0.9951 0.9951
4 Mn 0.5000 0.4930 0.4930
5 Mn 0.6772 0.9951 0.9951
6 Mn 0.8371 0.4644 0.4644
7 O 0.1558 0.1723 0.1723
8 O 0.8442 0.1723 0.1723
9 F 0.0000 0.2820 0.6739
10 F 0.0000 0.6739 0.2820
11 F 0.1529 0.7796 0.7796
12 F 0.3306 0.2880 0.6779
13 F 0.3306 0.6779 0.2880
14 F 0.5000 0.1827 0.1827
15 F 0.5000 0.8033 0.8033
16 F 0.6694 0.2880 0.6779
17 F 0.6694 0.6779 0.2880
18 F 0.8471 0.7796 0.7796

***

Record 4
# Si4Mo2P4O23
Computed X-ray powder pattern, Cu Kα (λ = 1.5418 Å). Input: a DFT-relaxed cell (GGA+U, the Materials Project).
Intensities are scaled so that the largest is 100.

Main lines, low angle first (10° ≤ 2θ ≤ 80°):
- 12.52 deg, rel. 21
- 18.03 deg, rel. 34
- 21.16 deg, rel. 10
- 21.82 deg, rel. 32
- 22.00 deg, rel. 100
- 25.98 deg, rel. 11
- 27.76 deg, rel. 18
- 32.60 deg, rel. 12
- 33.84 deg, rel. 15
- 34.67 deg, rel. 13

Lattice parameters (Å, degrees): 5.2992 8.5680 11.3740 77.80 77.71 73.03
Fractional positions:
1 Si 0.0585 0.1867 0.2122
2 Si 0.4415 0.6870 0.9286
3 Si 0.5585 0.3130 0.0714
4 Si 0.9415 0.8133 0.7878
5 Mo 0.2909 0.2553 0.6473
6 Mo 0.7091 0.7447 0.3527
7 P 0.1583 0.6853 0.5538
8 P 0.2490 0.8118 0.1687
9 P 0.7510 0.1882 0.8313
10 P 0.8417 0.3147 0.4462
11 O 0.0024 0.7452 0.1962
12 O 0.0028 0.2641 0.5508
13 O 0.0275 0.8223 0.6407
14 O 0.1451 0.5185 0.6306
15 O 0.1709 0.9977 0.1826
16 O 0.1961 0.7209 0.8560
17 O 0.2931 0.2807 0.1615
18 O 0.3599 0.8165 0.0282
19 O 0.4121 0.0450 0.6695
20 O 0.4478 0.6968 0.5078
21 O 0.4683 0.7124 0.2412
22 O 0.5000 0.5000 0.0000
23 O 0.5317 0.2876 0.7588
24 O 0.5522 0.3032 0.4922
25 O 0.5879 0.9550 0.3305
26 O 0.6401 0.1835 0.9718
27 O 0.7069 0.7193 0.8385
28 O 0.8039 0.2791 0.1440
29 O 0.8291 0.0023 0.8174
30 O 0.8549 0.4815 0.3694
31 O 0.9725 0.1777 0.3593
32 O 0.9972 0.7359 0.4492
33 O 0.9976 0.2548 0.8038

***

Record 5
# MgCo4O8
Computed X-ray powder pattern, Cu Kα (λ = 1.5418 Å). Input: a DFT-relaxed cell (GGA+U, the Materials Project).
Intensities are scaled so that the largest is 100.

Main lines, low angle first (10° ≤ 2θ ≤ 80°):
- 11.60 deg, rel. 100
- 12.46 deg, rel. 73
- 14.28 deg, rel. 57
- 19.45 deg, rel. 52
- 23.32 deg, rel. 26
- 35.81 deg, rel. 36
- 38.01 deg, rel. 13
- 38.34 deg, rel. 13
- 39.37 deg, rel. 14
- 45.38 deg, rel. 15

Lattice parameters (Å, degrees): 2.9669 7.5670 7.9965 72.62 88.24 79.49
Fractional positions:
1 Mg 0.0000 0.0000 0.0000
2 Co 0.3339 0.3535 0.9344
3 Co 0.3837 0.0837 0.3480
4 Co 0.6778 0.6790 0.9393
5 Co 0.8602 0.1128 0.6439
6 O 0.1367 0.7229 0.0701
7 O 0.2216 0.6103 0.8150
8 O 0.2949 0.2370 0.5027
9 O 0.4339 0.1078 0.1113
10 O 0.5466 0.9487 0.8198
11 O 0.7910 0.4224 0.0542
12 O 0.8617 0.2731 0.8210
13 O 0.9424 0.9541 0.4653

***

Record 6
# LiVSiO4
Computed X-ray powder pattern, Cu Kα (λ = 1.5418 Å). Input: a DFT-relaxed cell (GGA+U, the Materials Project).
Intensities are scaled so that the largest is 100.

Main lines, low angle first (10° ≤ 2θ ≤ 80°):
- 21.02 deg, rel. 100
- 27.24 deg, rel. 49
- 29.89 deg, rel. 10
- 34.65 deg, rel. 28
- 38.90 deg, rel. 12
- 46.41 deg, rel. 25
- 51.46 deg, rel. 14
- 57.70 deg, rel. 14
- 64.95 deg, rel. 20
- 69.09 deg, rel. 9

Lattice parameters (Å, degrees): 7.3213 7.3213 7.3213 90.00 90.00 90.00
Fractional positions:
1 Li 0.2480 0.2480 0.2480
2 Li 0.2520 0.7520 0.7480
3 Li 0.7480 0.2520 0.7520
4 Li 0.7520 0.7480 0.2520
5 V 0.1944 0.3056 0.6944
6 V 0.3056 0.6944 0.1944
7 V 0.6944 0.1944 0.3056
8 V 0.8056 0.8056 0.8056
9 Si 0.0309 0.9691 0.4691
10 Si 0.4691 0.0309 0.9691
11 Si 0.5309 0.5309 0.5309
12 Si 0.9691 0.4691 0.0309
13 O 0.0258 0.8839 0.6784
14 O 0.1161 0.1784 0.4742
15 O 0.1580 0.8420 0.3420
16 O 0.1784 0.4742 0.1161
17 O 0.3216 0.5258 0.6161
18 O 0.3420 0.1580 0.8420
19 O 0.3839 0.8216 0.9742
20 O 0.4742 0.1161 0.1784
21 O 0.5258 0.6161 0.3216
22 O 0.6161 0.3216 0.5258
23 O 0.6580 0.6580 0.6580
24 O 0.6784 0.0258 0.8839
25 O 0.8216 0.9742 0.3839
26 O 0.8420 0.3420 0.1580
27 O 0.8839 0.6784 0.0258
28 O 0.9742 0.3839 0.8216

***

Record 7
# Li5Fe8B8O24
Computed X-ray powder pattern, Cu Kα (λ = 1.5418 Å). Input: a DFT-relaxed cell (GGA+U, the Materials Project).
Intensities are scaled so that the largest is 100.

Main lines, low angle first (10° ≤ 2θ ≤ 80°):
- 19.48 deg, rel. 34
- 19.55 deg, rel. 56
- 21.36 deg, rel. 23
- 21.51 deg, rel. 100
- 26.04 deg, rel. 26
- 26.27 deg, rel. 30
- 34.06 deg, rel. 56
- 34.24 deg, rel. 30
- 35.55 deg, rel. 86
- 40.62 deg, rel. 39

Lattice parameters (Å, degrees): 5.2707 9.0812 11.3026 66.94 77.23 89.71
Fractional positions:
1 Li 0.0000 0.0000 0.0000
2 Li 0.0458 0.3725 0.2778
3 Li 0.4891 0.4857 0.0185
4 Li 0.5430 0.8814 0.2646
5 Li 0.7227 0.7575 0.5309
6 Fe 0.0105 0.6689 0.9864
7 Fe 0.0553 0.0497 0.2456
8 Fe 0.2433 0.5957 0.4963
9 Fe 0.3050 0.9738 0.7351
10 Fe 0.5076 0.1690 0.9892
11 Fe 0.5607 0.5569 0.2403
12 Fe 0.7541 0.1077 0.5003
13 Fe 0.8097 0.4658 0.7442
14 B 0.0100 0.3394 0.9933
15 B 0.0513 0.7219 0.2348
16 B 0.2567 0.9260 0.4908
17 B 0.3010 0.3003 0.7459
18 B 0.5035 0.8378 0.9975
19 B 0.5610 0.2243 0.2416
20 B 0.7621 0.4418 0.4833
21 B 0.8064 0.8079 0.7404
22 O 0.0117 0.9441 0.4614
23 O 0.0320 0.8041 0.7849
24 O 0.1012 0.1877 0.0290
25 O 0.1436 0.4619 0.0015
26 O 0.1792 0.4423 0.7037
27 O 0.1888 0.1601 0.7559
28 O 0.2723 0.8595 0.9540
29 O 0.2906 0.6996 0.2711
30 O 0.3568 0.0264 0.5397
31 O 0.4065 0.8090 0.4684
32 O 0.4384 0.3661 0.2240
33 O 0.4517 0.1085 0.2113
34 O 0.5354 0.3039 0.7822
35 O 0.5397 0.4781 0.4325
36 O 0.5973 0.6830 0.0370
37 O 0.6362 0.9583 0.0081
38 O 0.6756 0.9456 0.7103
39 O 0.7143 0.6758 0.7261
40 O 0.7749 0.3664 0.9494
41 O 0.7918 0.2053 0.2827
42 O 0.8409 0.5446 0.5381
43 O 0.9021 0.3209 0.4726
44 O 0.9230 0.8538 0.2286
45 O 0.9451 0.6014 0.2060

***

Record 8
# Dy2FeMoO7
Computed X-ray powder pattern, Cu Kα (λ = 1.5418 Å). Input: a DFT-relaxed cell (GGA+U, the Materials Project).
Intensities are scaled so that the largest is 100.

Main lines, low angle first (10° ≤ 2θ ≤ 80°):
- 14.95 deg, rel. 16
- 29.80 deg, rel. 33
- 30.17 deg, rel. 100
- 34.73 deg, rel. 14
- 34.94 deg, rel. 28
- 49.85 deg, rel. 23
- 50.00 deg, rel. 10
- 50.33 deg, rel. 20
- 50.49 deg, rel. 11
- 59.72 deg, rel. 23

Lattice parameters (Å, degrees): 7.2521 7.2521 7.2970 119.60 119.60 59.80
Fractional positions:
1 Dy 0.0000 0.0000 0.0000
2 Dy 0.0000 0.5000 0.5000
3 Dy 0.5000 0.0000 0.5000
4 Dy 0.5000 0.5000 0.0000
5 Fe 0.0000 0.5000 0.0000
6 Fe 0.5000 0.0000 0.0000
7 Mo 0.0000 0.0000 0.5000
8 Mo 0.5000 0.5000 0.5000
9 O 0.1011 0.1011 0.3708
10 O 0.1018 0.6252 0.8923
11 O 0.1081 0.6706 0.3335
12 O 0.3294 0.8919 0.6665
13 O 0.3368 0.3368 0.1152
14 O 0.3748 0.8982 0.1077
15 O 0.3821 0.3821 0.6138
16 O 0.6179 0.6179 0.3862
17 O 0.6252 0.1018 0.8923
18 O 0.6632 0.6632 0.8848
19 O 0.6706 0.1081 0.3335
20 O 0.8919 0.3294 0.6665
21 O 0.8982 0.3748 0.1077
22 O 0.8989 0.8989 0.6292

***

Record 9
# Ba2AlNi3O7
Computed X-ray powder pattern, Cu Kα (λ = 1.5418 Å). Input: a DFT-relaxed cell (GGA+U, the Materials Project).
Intensities are scaled so that the largest is 100.

Main lines, low angle first (10° ≤ 2θ ≤ 80°):
- 28.54 deg, rel. 28
- 32.96 deg, rel. 88
- 33.09 deg, rel. 100
- 33.67 deg, rel. 97
- 36.79 deg, rel. 25
- 46.43 deg, rel. 35
- 48.55 deg, rel. 30
- 58.57 deg, rel. 38
- 59.69 deg, rel. 31
- 59.94 deg, rel. 31

Lattice parameters (Å, degrees): 3.7501 3.9115 11.3348 90.00 90.00 90.00
Fractional positions:
1 Ba 0.0000 0.0000 0.1882
2 Ba 0.0000 0.0000 0.8118
3 Al 0.0000 0.0000 0.5000
4 Ni 0.5000 0.5000 0.0000
5 Ni 0.5000 0.5000 0.3529
6 Ni 0.5000 0.5000 0.6471
7 O 0.0000 0.5000 0.3898
8 O 0.0000 0.5000 0.6102
9 O 0.5000 0.0000 0.0000
10 O 0.5000 0.0000 0.3903
11 O 0.5000 0.0000 0.6097
12 O 0.5000 0.5000 0.1670
13 O 0.5000 0.5000 0.8330

***

Record 10
# MoPbO4
Computed X-ray powder pattern, Cu Kα (λ = 1.5418 Å). Input: a DFT-relaxed cell (GGA+U, the Materials Project).
Intensities are scaled so that the largest is 100.

Main lines, low angle first (10° ≤ 2θ ≤ 80°):
- 17.59 deg, rel. 11
- 27.02 deg, rel. 100
- 28.94 deg, rel. 16
- 32.41 deg, rel. 23
- 44.00 deg, rel. 28
- 46.50 deg, rel. 12
- 50.12 deg, rel. 19
- 54.60 deg, rel. 30
- 55.70 deg, rel. 13
- 70.76 deg, rel. 15

Lattice parameters (Å, degrees): 7.3024 7.3024 7.3024 135.55 135.55 64.68
Fractional positions:
1 Mo 0.3750 0.1250 0.2500
2 Mo 0.6250 0.8750 0.7500
3 Pb 0.1250 0.3750 0.7500
4 Pb 0.8750 0.6250 0.2500
5 O 0.1587 0.2812 0.3512
6 O 0.2188 0.0700 0.8775
7 O 0.3075 0.6587 0.3775
8 O 0.4300 0.8075 0.1488
9 O 0.5700 0.1925 0.8512
10 O 0.6925 0.3413 0.6225
11 O 0.7812 0.9300 0.1225
12 O 0.8413 0.7188 0.6488

***

Record 11
# SrEuZrCrO6
Computed X-ray powder pattern, Cu Kα (λ = 1.5418 Å). Input: a DFT-relaxed cell (GGA+U, the Materials Project).
Intensities are scaled so that the largest is 100.

Main lines, low angle first (10° ≤ 2θ ≤ 80°):
- 19.06 deg, rel. 9
- 31.37 deg, rel. 100
- 36.96 deg, rel. 6
- 38.67 deg, rel. 11
- 44.95 deg, rel. 33
- 49.24 deg, rel. 3
- 55.84 deg, rel. 39
- 65.46 deg, rel. 20
- 74.38 deg, rel. 17
- 78.69 deg, rel. 3

Lattice parameters (Å, degrees): 5.7035 5.7035 5.7035 60.00 60.00 60.00
Fractional positions:
1 Sr 0.0000 0.0000 0.0000
2 Eu 0.5000 0.5000 0.5000
3 Zr 0.2500 0.2500 0.2500
4 Cr 0.7500 0.7500 0.7500
5 O 0.5080 0.5080 0.9920
6 O 0.5080 0.9920 0.5080
7 O 0.5080 0.9920 0.9920
8 O 0.9920 0.5080 0.5080
9 O 0.9920 0.5080 0.9920
10 O 0.9920 0.9920 0.5080